No. 1
The following is a theoretical powder XRD pattern of CuPbSO6. It was derived from a structure optimized by DFT (PBE), using Cu Ka.
Peak positions follow from Bragg's law for the DFT cell and can differ from measured ones.

Cell and atoms:
```
data_CuPbSO6
_chemical_formula_sum 'Cu2 Pb2 S2 O12'
_space_group_name_H-M_alt 'P 1 21/m 1'
_space_group_IT_number 11
_cell_length_a 4.7571
_cell_length_b 5.5007
_cell_length_c 10.1099
_cell_angle_alpha 90.00
_cell_angle_beta 102.26
_cell_angle_gamma 90.00
loop_
_space_group_symop_operation_xyz
'x,y,z'
'-x,-y,-z'
'-x,y+1/2,-z'
'x,-y+1/2,z'
loop_
_atom_site_label
_atom_site_type_symbol
_atom_site_fract_x
_atom_site_fract_y
_atom_site_fract_z
Cu1 Cu 0.0000 0.0000 0.0000
Pb1 Pb 0.3272 0.2500 0.3305
S1 S 0.1231 0.2500 0.6617
O1 O 0.0623 0.7500 0.4757
O2 O 0.0683 0.0285 0.7396
O3 O 0.2330 0.2500 0.0827
O4 O 0.2529 0.7500 0.0418
O5 O 0.4325 0.2500 0.6526
```

The 12 most intense peaks (5 to 70 degrees two-theta), by angle:
2theta	I_rel
18.46	70.1
19.30	100.0
24.22	28.8
25.08	93.4
27.08	97.1
28.05	64.1
28.48	75.9
29.04	30.2
33.83	32.7
34.00	39.1
37.43	50.3
40.26	28.4

---

No. 2
The following is a theoretical powder XRD pattern of CuPb4S2O14. It was derived from a structure optimized by DFT (PBE), using Cu Ka.
Peak positions follow from Bragg's law for the DFT cell and can differ from measured ones.

Cell and atoms:
```
data_CuPb4S2O14
_chemical_formula_sum 'Cu1 Pb4 S2 O14'
_space_group_name_H-M_alt 'P -1'
_space_group_IT_number 2
_cell_length_a 5.2712
_cell_length_b 8.2672
_cell_length_c 8.5198
_cell_angle_alpha 115.45
_cell_angle_beta 99.66
_cell_angle_gamma 98.94
loop_
_space_group_symop_operation_xyz
'x,y,z'
'-x,-y,-z'
loop_
_atom_site_label
_atom_site_type_symbol
_atom_site_fract_x
_atom_site_fract_y
_atom_site_fract_z
Cu1 Cu 0.0000 0.0000 0.0000
Pb1 Pb 0.3548 0.4740 0.2889
Pb2 Pb 0.4367 0.9308 0.7506
S1 S 0.0603 0.2728 0.7425
O1 O 0.0613 0.4756 0.8303
O2 O 0.1950 0.1763 0.2230
O3 O 0.2033 0.2318 0.8849
O4 O 0.2112 0.2376 0.6035
O5 O 0.2217 0.8397 0.3397
O6 O 0.2709 0.8869 0.9639
O7 O 0.3232 0.6201 0.5688
```

The 12 most intense peaks (5 to 70 degrees two-theta), by angle:
2theta	I_rel
12.48	66.0
17.65	53.4
21.68	100.0
23.98	84.1
24.67	45.2
26.47	54.5
30.86	61.3
33.35	38.9
33.58	35.6
33.72	44.9
38.03	71.0
42.24	36.1

---

No. 3
The following is a theoretical powder XRD pattern of Cu2Si2Pb7S4O26. It was derived from a structure optimized by DFT (PBE), using Cu Ka.
Peak positions follow from Bragg's law for the DFT cell and can differ from measured ones.

Cell and atoms:
```
data_Cu2Si2Pb7S4O26
_chemical_formula_sum 'Cu4 Si4 Pb14 S8 O52'
_space_group_name_H-M_alt 'C 1 2/m 1'
_space_group_IT_number 12
_cell_length_a 20.8644
_cell_length_b 5.7435
_cell_length_c 9.6140
_cell_angle_alpha 90.00
_cell_angle_beta 90.63
_cell_angle_gamma 90.00
loop_
_space_group_symop_operation_xyz
'x,y,z'
'-x,-y,-z'
'-x,y,-z'
'x,-y,z'
'x+1/2,y+1/2,z'
'-x+1/2,-y+1/2,-z'
'-x+1/2,y+1/2,-z'
'x+1/2,-y+1/2,z'
loop_
_atom_site_label
_atom_site_type_symbol
_atom_site_fract_x
_atom_site_fract_y
_atom_site_fract_z
Cu1 Cu 0.2500 0.2500 0.0000
Si1 Si 0.1054 0.0000 0.0083
Pb1 Pb 0.0000 0.5000 0.0000
Pb2 Pb 0.0253 0.0000 0.2881
Pb3 Pb 0.1471 0.5000 0.2548
Pb4 Pb 0.1566 0.0000 0.6697
S1 S 0.0676 0.5000 0.6546
S2 S 0.2324 0.0000 0.3446
O1 O 0.0011 0.5000 0.7174
O2 O 0.0691 0.0000 0.8564
O3 O 0.0734 0.2852 0.5658
O4 O 0.0849 0.2242 0.1055
O5 O 0.1163 0.5000 0.7663
O6 O 0.1633 0.0000 0.3871
O7 O 0.1858 0.0000 0.9750
O8 O 0.1965 0.5000 0.0281
O9 O 0.2242 0.5000 0.5347
O10 O 0.2434 0.2129 0.2553
```

The 12 most intense peaks (5 to 70 degrees two-theta), by angle:
2theta	I_rel
18.47	78.8
27.30	25.0
27.48	20.3
27.88	53.9
28.09	100.0
31.14	38.9
32.27	61.0
36.45	17.1
40.75	28.7
42.26	15.3
53.56	14.3
55.17	14.5

---

No. 4
The following is a theoretical powder XRD pattern of Cu2PbSe3O9. It was derived from a structure optimized by DFT (PBE), using Cu Ka.
Peak positions follow from Bragg's law for the DFT cell and can differ from measured ones.

Cell and atoms:
```
data_Cu2PbSe3O9
_chemical_formula_sum 'Cu8 Pb4 Se12 O36'
_space_group_name_H-M_alt 'P -1'
_space_group_IT_number 2
_cell_length_a 7.9125
_cell_length_b 9.4606
_cell_length_c 12.7279
_cell_angle_alpha 82.74
_cell_angle_beta 73.21
_cell_angle_gamma 89.86
loop_
_space_group_symop_operation_xyz
'x,y,z'
'-x,-y,-z'
loop_
_atom_site_label
_atom_site_type_symbol
_atom_site_fract_x
_atom_site_fract_y
_atom_site_fract_z
Cu1 Cu 0.0575 0.0593 0.2972
Cu2 Cu 0.1205 0.6690 0.3032
Cu3 Cu 0.2743 0.6696 0.0390
Cu4 Cu 0.3346 0.2584 0.9863
Pb1 Pb 0.3747 0.8380 0.6512
Pb2 Pb 0.4482 0.3594 0.6580
Se1 Se 0.0517 0.1294 0.8714
Se2 Se 0.0657 0.6247 0.8723
Se3 Se 0.1374 0.5914 0.5539
Se4 Se 0.1774 0.1261 0.5062
Se5 Se 0.3750 0.3945 0.1948
Se6 Se 0.4148 0.9446 0.1753
O1 O 0.0632 0.7268 0.7503
O2 O 0.0689 0.7209 0.1616
O3 O 0.1141 0.0647 0.7460
O4 O 0.1227 0.4238 0.6313
O5 O 0.1329 0.9427 0.5604
O6 O 0.1567 0.3910 0.0492
O7 O 0.1566 0.7508 0.9313
O8 O 0.1970 0.5470 0.4170
O9 O 0.2323 0.0366 0.1574
O10 O 0.2423 0.1188 0.3639
O11 O 0.2539 0.2137 0.8602
O12 O 0.3196 0.8100 0.2862
O13 O 0.3507 0.6399 0.5497
O14 O 0.3684 0.5771 0.1594
O15 O 0.3806 0.1532 0.5253
O16 O 0.4573 0.8578 0.0598
O17 O 0.4593 0.6009 0.7427
O18 O 0.4871 0.3306 0.0690
```

The 12 most intense peaks (5 to 70 degrees two-theta), by angle:
2theta	I_rel
21.32	30.3
22.43	61.1
22.85	34.2
25.54	86.8
25.96	30.7
27.28	73.1
27.96	33.8
29.80	65.1
30.88	38.7
31.32	100.0
32.09	57.2
38.39	26.2